1.
CaCo2O4: theoretical PXRD pattern (Cu Kα X-rays), based on a structure optimized by DFT (PBE+U).

Crystal structure
```
data_CaCo2O4
_space_group_name_H-M_alt 'P 1'
_space_group_IT_number 1
_space_group_name_Hall 'P 1'
_cell_length_a 6.308
_cell_length_b 6.308
_cell_length_c 6.308
_cell_angle_alpha 125.48
_cell_angle_beta 125.48
_cell_angle_gamma 80.74
loop_
_atom_site_label
_atom_site_type_symbol
_atom_site_fract_x
_atom_site_fract_y
_atom_site_fract_z
Ca1 Ca 0.375 0.125 0.250
Ca2 Ca 0.625 0.875 0.750
Co1 Co 0.000 0.000 0.500
Co2 Co 0.000 0.500 0.000
Co3 Co 0.000 0.500 0.500
Co4 Co 0.500 0.500 0.000
O1 O 0.039 0.702 0.887
O2 O 0.202 0.815 0.662
O3 O 0.315 0.152 0.613
O4 O 0.348 0.461 0.162
O5 O 0.652 0.539 0.838
O6 O 0.685 0.848 0.387
O7 O 0.798 0.185 0.338
O8 O 0.961 0.298 0.113
```

Top 10 peaks for 10 to 90 degrees two-theta, sorted by position:
17.91°, intensity 37; 31.94°, intensity 30; 35.99°, intensity 100; 36.28°, intensity 52; 50.01°, intensity 20; 55.68°, intensity 16; 58.38°, intensity 15; 59.38°, intensity 27; 66.78°, intensity 13; 76.32°, intensity 17


2.
CaCo4O6: theoretical PXRD pattern (Cu Kα X-rays), based on a structure optimized by DFT (PBE+U).

Crystal structure
```
data_CaCo4O6
_space_group_name_H-M_alt 'P 1'
_space_group_IT_number 1
_space_group_name_Hall 'P 1'
_cell_length_a 5.213
_cell_length_b 5.213
_cell_length_c 15.282
_cell_angle_alpha 90.00
_cell_angle_beta 90.00
_cell_angle_gamma 145.28
loop_
_atom_site_label
_atom_site_type_symbol
_atom_site_fract_x
_atom_site_fract_y
_atom_site_fract_z
Ca1 Ca 0.162 0.838 0.750
Ca2 Ca 0.838 0.162 0.250
Co1 Co 0.091 0.909 0.135
Co2 Co 0.091 0.909 0.365
Co3 Co 0.362 0.638 0.044
Co4 Co 0.362 0.638 0.456
Co5 Co 0.638 0.362 0.544
Co6 Co 0.638 0.362 0.956
Co7 Co 0.909 0.091 0.635
Co8 Co 0.909 0.091 0.865
O1 O 0.000 0.000 0.000
O2 O 0.000 0.000 0.500
O3 O 0.173 0.827 0.250
O4 O 0.274 0.726 0.573
O5 O 0.274 0.726 0.927
O6 O 0.448 0.552 0.151
O7 O 0.448 0.552 0.349
O8 O 0.552 0.448 0.651
O9 O 0.552 0.448 0.849
O10 O 0.726 0.274 0.073
O11 O 0.726 0.274 0.427
O12 O 0.827 0.173 0.750
```

Top 10 peaks for 10 to 90 degrees two-theta, sorted by position:
11.58°, intensity 48; 32.35°, intensity 38; 34.44°, intensity 100; 34.98°, intensity 41; 36.11°, intensity 29; 40.18°, intensity 53; 41.52°, intensity 80; 43.67°, intensity 53; 57.36°, intensity 29; 59.43°, intensity 28


3.
CaCo2O4: theoretical PXRD pattern (Cu Kα X-rays), based on a structure optimized by DFT (PBE+U).

Crystal structure
```
data_CaCo2O4
_space_group_name_H-M_alt 'P 1'
_space_group_IT_number 1
_space_group_name_Hall 'P 1'
_cell_length_a 6.972
_cell_length_b 6.972
_cell_length_c 9.182
_cell_angle_alpha 123.53
_cell_angle_beta 123.53
_cell_angle_gamma 26.08
loop_
_atom_site_label
_atom_site_type_symbol
_atom_site_fract_x
_atom_site_fract_y
_atom_site_fract_z
Ca1 Ca 0.153 0.153 0.168
Ca2 Ca 0.847 0.847 0.832
Co1 Co 0.128 0.128 0.815
Co2 Co 0.362 0.362 0.526
Co3 Co 0.638 0.638 0.474
Co4 Co 0.872 0.872 0.185
O1 O 0.041 0.041 0.309
O2 O 0.266 0.266 0.621
O3 O 0.341 0.341 0.009
O4 O 0.364 0.364 0.315
O5 O 0.636 0.636 0.685
O6 O 0.659 0.659 0.991
O7 O 0.734 0.734 0.379
O8 O 0.959 0.959 0.691
```

Top 10 peaks for 10 to 90 degrees two-theta, sorted by position:
15.84°, intensity 37; 31.55°, intensity 54; 31.99°, intensity 100; 33.51°, intensity 38; 34.76°, intensity 56; 34.99°, intensity 36; 40.93°, intensity 50; 49.22°, intensity 48; 51.98°, intensity 41; 58.67°, intensity 32


4.
CaCo2O4: theoretical PXRD pattern (Cu Kα X-rays), based on a structure optimized by DFT (PBE+U).

Crystal structure
```
data_CaCo2O4
_space_group_name_H-M_alt 'P 1'
_space_group_IT_number 1
_space_group_name_Hall 'P 1'
_cell_length_a 5.188
_cell_length_b 5.188
_cell_length_c 9.785
_cell_angle_alpha 90.00
_cell_angle_beta 90.00
_cell_angle_gamma 145.04
loop_
_atom_site_label
_atom_site_type_symbol
_atom_site_fract_x
_atom_site_fract_y
_atom_site_fract_z
Ca1 Ca 0.107 0.893 0.750
Ca2 Ca 0.893 0.107 0.250
Co1 Co 0.365 0.635 0.567
Co2 Co 0.365 0.635 0.933
Co3 Co 0.635 0.365 0.067
Co4 Co 0.635 0.365 0.433
O1 O 0.000 0.000 0.000
O2 O 0.000 0.000 0.500
O3 O 0.273 0.727 0.107
O4 O 0.273 0.727 0.393
O5 O 0.432 0.568 0.750
O6 O 0.568 0.432 0.250
O7 O 0.727 0.273 0.607
O8 O 0.727 0.273 0.893
```

Top 10 peaks for 10 to 90 degrees two-theta, sorted by position:
18.13°, intensity 27; 31.45°, intensity 31; 32.89°, intensity 100; 35.33°, intensity 28; 36.31°, intensity 27; 39.79°, intensity 37; 40.89°, intensity 57; 44.05°, intensity 55; 56.28°, intensity 29; 62.45°, intensity 24


5.
Ca2CoO3: theoretical PXRD pattern (Cu Kα X-rays), based on a structure optimized by DFT (PBE+U).

Crystal structure
```
data_Ca2CoO3
_space_group_name_H-M_alt 'P 1'
_space_group_IT_number 1
_space_group_name_Hall 'P 1'
_cell_length_a 3.850
_cell_length_b 3.850
_cell_length_c 10.113
_cell_angle_alpha 90.88
_cell_angle_beta 90.88
_cell_angle_gamma 61.16
loop_
_atom_site_label
_atom_site_type_symbol
_atom_site_fract_x
_atom_site_fract_y
_atom_site_fract_z
Ca1 Ca 0.148 0.148 0.209
Ca2 Ca 0.852 0.852 0.791
Co1 Co 0.500 0.500 0.000
O1 O 0.000 0.000 0.000
O2 O 0.489 0.489 0.209
O3 O 0.511 0.511 0.791
```

Top 10 peaks for 10 to 90 degrees two-theta, sorted by position:
26.91°, intensity 38; 27.97°, intensity 99; 28.19°, intensity 100; 32.03°, intensity 86; 35.51°, intensity 42; 37.56°, intensity 43; 38.43°, intensity 28; 44.82°, intensity 38; 46.36°, intensity 36; 47.25°, intensity 65


6.
CaCo2O4: theoretical PXRD pattern (Cu Kα X-rays), based on a structure optimized by DFT (PBE+U).

Crystal structure
```
data_CaCo2O4
_space_group_name_H-M_alt 'P 1'
_space_group_IT_number 1
_space_group_name_Hall 'P 1'
_cell_length_a 8.801
_cell_length_b 2.930
_cell_length_c 10.320
_cell_angle_alpha 90.00
_cell_angle_beta 90.00
_cell_angle_gamma 90.00
loop_
_atom_site_label
_atom_site_type_symbol
_atom_site_fract_x
_atom_site_fract_y
_atom_site_fract_z
Ca1 Ca 0.239 0.250 0.164
Ca2 Ca 0.261 0.750 0.664
Ca3 Ca 0.739 0.250 0.336
Ca4 Ca 0.761 0.750 0.836
Co1 Co 0.057 0.250 0.388
Co2 Co 0.084 0.250 0.902
Co3 Co 0.416 0.750 0.402
Co4 Co 0.443 0.750 0.888
Co5 Co 0.557 0.250 0.112
Co6 Co 0.584 0.250 0.598
Co7 Co 0.916 0.750 0.098
Co8 Co 0.943 0.750 0.612
O1 O 0.032 0.750 0.788
O2 O 0.079 0.250 0.572
O3 O 0.115 0.750 0.023
O4 O 0.198 0.750 0.344
O5 O 0.302 0.250 0.844
O6 O 0.385 0.250 0.523
O7 O 0.421 0.750 0.072
O8 O 0.468 0.250 0.288
O9 O 0.532 0.750 0.712
O10 O 0.579 0.250 0.928
O11 O 0.615 0.750 0.477
O12 O 0.698 0.750 0.156
O13 O 0.802 0.250 0.656
O14 O 0.885 0.250 0.977
O15 O 0.921 0.750 0.428
O16 O 0.968 0.250 0.212
```

Top 10 peaks for 10 to 90 degrees two-theta, sorted by position:
20.18°, intensity 31; 34.77°, intensity 48; 35.19°, intensity 100; 36.72°, intensity 79; 36.86°, intensity 36; 41.78°, intensity 29; 51.57°, intensity 35; 51.98°, intensity 26; 63.48°, intensity 33; 64.06°, intensity 30


7.
CaCoO3: theoretical PXRD pattern (Cu Kα X-rays), based on a structure optimized by DFT (PBE+U).

Crystal structure
```
data_CaCoO3
_space_group_name_H-M_alt 'P 1'
_space_group_IT_number 1
_space_group_name_Hall 'P 1'
_cell_length_a 3.177
_cell_length_b 3.177
_cell_length_c 9.796
_cell_angle_alpha 95.93
_cell_angle_beta 95.93
_cell_angle_gamma 89.96
loop_
_atom_site_label
_atom_site_type_symbol
_atom_site_fract_x
_atom_site_fract_y
_atom_site_fract_z
Ca1 Ca 0.000 0.000 0.000
Co1 Co 0.571 0.571 0.235
O1 O 0.075 0.075 0.223
O2 O 0.508 0.508 0.025
O3 O 0.628 0.628 0.401
```

Top 10 peaks for 10 to 90 degrees two-theta, sorted by position:
28.79°, intensity 76; 30.66°, intensity 98; 32.17°, intensity 88; 37.11°, intensity 75; 40.16°, intensity 100; 40.27°, intensity 90; 40.58°, intensity 73; 41.27°, intensity 86; 58.18°, intensity 51; 58.41°, intensity 78


8.
CaCoO2: theoretical PXRD pattern (Cu Kα X-rays), based on a structure optimized by DFT (PBE+U).

Crystal structure
```
data_CaCoO2
_space_group_name_H-M_alt 'P 1'
_space_group_IT_number 1
_space_group_name_Hall 'P 1'
_cell_length_a 8.091
_cell_length_b 3.245
_cell_length_c 8.583
_cell_angle_alpha 90.00
_cell_angle_beta 95.89
_cell_angle_gamma 90.00
loop_
_atom_site_label
_atom_site_type_symbol
_atom_site_fract_x
_atom_site_fract_y
_atom_site_fract_z
Ca1 Ca 0.093 0.250 0.286
Ca2 Ca 0.290 0.250 0.951
Ca3 Ca 0.710 0.750 0.049
Ca4 Ca 0.907 0.750 0.714
Co1 Co 0.263 0.750 0.638
Co2 Co 0.411 0.750 0.256
Co3 Co 0.589 0.250 0.744
Co4 Co 0.737 0.250 0.362
O1 O 0.133 0.250 0.707
O2 O 0.201 0.750 0.104
O3 O 0.269 0.750 0.421
O4 O 0.459 0.750 0.816
O5 O 0.541 0.250 0.184
O6 O 0.731 0.250 0.579
O7 O 0.799 0.250 0.896
O8 O 0.867 0.750 0.293
```

Top 10 peaks for 10 to 90 degrees two-theta, sorted by position:
10.99°, intensity 30; 20.81°, intensity 51; 22.09°, intensity 30; 31.90°, intensity 73; 33.99°, intensity 28; 35.54°, intensity 34; 40.30°, intensity 100; 46.01°, intensity 24; 53.59°, intensity 25; 56.73°, intensity 26


9.
CaCoO3: theoretical PXRD pattern (Cu Kα X-rays), based on a structure optimized by DFT (PBE+U).

Crystal structure
```
data_CaCoO3
_space_group_name_H-M_alt 'P 1'
_space_group_IT_number 1
_space_group_name_Hall 'P 1'
_cell_length_a 3.763
_cell_length_b 3.763
_cell_length_c 3.763
_cell_angle_alpha 90.00
_cell_angle_beta 90.00
_cell_angle_gamma 90.00
loop_
_atom_site_label
_atom_site_type_symbol
_atom_site_fract_x
_atom_site_fract_y
_atom_site_fract_z
Ca1 Ca 0.000 0.000 0.000
Co1 Co 0.500 0.500 0.500
O1 O 0.000 0.500 0.500
O2 O 0.500 0.000 0.500
O3 O 0.500 0.500 0.000
```

Top 9 peaks for 10 to 90 degrees two-theta, sorted by position:
23.64°, intensity 23; 33.68°, intensity 100; 41.56°, intensity 4; 48.37°, intensity 49; 54.52°, intensity 8; 60.23°, intensity 35; 70.81°, intensity 26; 75.83°, intensity 3; 80.75°, intensity 14


10.
CaCo2O4: theoretical PXRD pattern (Cu Kα X-rays), based on a structure optimized by DFT (PBE+U).

Crystal structure
```
data_CaCo2O4
_space_group_name_H-M_alt 'P 1'
_space_group_IT_number 1
_space_group_name_Hall 'P 1'
_cell_length_a 5.995
_cell_length_b 5.995
_cell_length_c 5.995
_cell_angle_alpha 60.00
_cell_angle_beta 60.00
_cell_angle_gamma 60.00
loop_
_atom_site_label
_atom_site_type_symbol
_atom_site_fract_x
_atom_site_fract_y
_atom_site_fract_z
Ca1 Ca 0.125 0.125 0.125
Ca2 Ca 0.875 0.875 0.875
Co1 Co 0.000 0.500 0.500
Co2 Co 0.500 0.000 0.500
Co3 Co 0.500 0.500 0.000
Co4 Co 0.500 0.500 0.500
O1 O 0.271 0.271 0.271
O2 O 0.271 0.271 0.686
O3 O 0.271 0.686 0.271
O4 O 0.314 0.729 0.729
O5 O 0.686 0.271 0.271
O6 O 0.729 0.314 0.729
O7 O 0.729 0.729 0.314
O8 O 0.729 0.729 0.729
```

Top 10 peaks for 10 to 90 degrees two-theta, sorted by position:
18.12°, intensity 50; 29.81°, intensity 23; 35.10°, intensity 100; 36.72°, intensity 16; 42.66°, intensity 35; 56.39°, intensity 44; 61.91°, intensity 48; 73.20°, intensity 11; 74.19°, intensity 10; 88.60°, intensity 16


11.
Ca3Co2O6: theoretical PXRD pattern (Cu Kα X-rays), based on a structure optimized by DFT (PBE+U).

Crystal structure
```
data_Ca3Co2O6
_space_group_name_H-M_alt 'P 1'
_space_group_IT_number 1
_space_group_name_Hall 'P 1'
_cell_length_a 3.398
_cell_length_b 6.556
_cell_length_c 9.955
_cell_angle_alpha 83.90
_cell_angle_beta 84.30
_cell_angle_gamma 89.15
loop_
_atom_site_label
_atom_site_type_symbol
_atom_site_fract_x
_atom_site_fract_y
_atom_site_fract_z
Ca1 Ca 0.000 0.000 0.000
Ca2 Ca 0.001 0.504 0.993
Ca3 Ca 0.143 0.570 0.561
Co1 Co 0.493 0.803 0.764
Co2 Co 0.507 0.272 0.769
O1 O 0.146 0.038 0.782
O2 O 0.167 0.545 0.781
O3 O 0.511 0.757 0.986
O4 O 0.517 0.254 0.976
O5 O 0.637 0.793 0.590
O6 O 0.649 0.340 0.597
```

Top 10 peaks for 10 to 90 degrees two-theta, sorted by position:
27.03°, intensity 35; 30.56°, intensity 56; 31.27°, intensity 38; 36.49°, intensity 71; 38.03°, intensity 87; 38.27°, intensity 69; 38.45°, intensity 100; 46.07°, intensity 51; 54.26°, intensity 35; 56.45°, intensity 39


12.
Ca2CoO3: theoretical PXRD pattern (Cu Kα X-rays), based on a structure optimized by DFT (PBE+U).

Crystal structure
```
data_Ca2CoO3
_space_group_name_H-M_alt 'P 1'
_space_group_IT_number 1
_space_group_name_Hall 'P 1'
_cell_length_a 3.259
_cell_length_b 3.259
_cell_length_c 11.007
_cell_angle_alpha 95.44
_cell_angle_beta 95.44
_cell_angle_gamma 89.84
loop_
_atom_site_label
_atom_site_type_symbol
_atom_site_fract_x
_atom_site_fract_y
_atom_site_fract_z
Ca1 Ca 0.000 0.000 0.000
Ca2 Ca 0.131 0.131 0.414
Co1 Co 0.550 0.550 0.207
O1 O 0.071 0.071 0.207
O2 O 0.503 0.503 0.004
O3 O 0.630 0.630 0.410
```

Top 10 peaks for 10 to 90 degrees two-theta, sorted by position:
30.70°, intensity 32; 32.84°, intensity 40; 33.45°, intensity 41; 35.28°, intensity 33; 39.15°, intensity 100; 39.40°, intensity 34; 40.04°, intensity 32; 41.39°, intensity 45; 56.56°, intensity 27; 58.28°, intensity 28